AcAgSb3: calculated X-ray powder pattern (λ = 1.5418 Å (Cu Kα)), based on a PBE-relaxed structure.

Structure:
abc: 13.8187 6.5077 6.5037
angles: 90.00 90.00 90.00
Positions (direct):
Ac 0.1884 0.0012 0.2500
Ac 0.1884 0.4988 0.7500
Ac 0.8116 0.5012 0.2500
Ac 0.8116 0.9988 0.7500
Ag 0.3950 0.7500 0.0000
Ag 0.3950 0.7500 0.5000
Ag 0.6050 0.2500 0.0000
Ag 0.6050 0.2500 0.5000
Sb 0.0014 0.7500 0.0000
Sb 0.0014 0.7500 0.5000
Sb 0.2685 0.0047 0.7500
Sb 0.2685 0.4953 0.2500
Sb 0.4308 0.1937 0.2500
Sb 0.4308 0.3063 0.7500
Sb 0.5692 0.6937 0.2500
Sb 0.5692 0.8063 0.7500
Sb 0.7315 0.5047 0.7500
Sb 0.7315 0.9953 0.2500
Sb 0.9986 0.2500 0.0000
Sb 0.9986 0.2500 0.5000

Peak list (10 most intense, 2θ = 5–70°, in order of falling intensity)
| Position (°2θ) | I (rel.) | (hkl) |
| --- | --- | --- |
| 30.37 | 100 | 2 2 0 |
| 32.40 | 71 | 5 0 0 |
| 33.73 | 47 | 3 0 2 |
| 65.57 | 35 | 2 2 4 |
| 39.17 | 33 | 0 2 2 |
| 51.71 | 30 | 5 2 2 |
| 23.23 | 24 | 2 1 1 |
| 56.58 | 23 | 0 0 4 |
| 46.02 | 19 | 2 3 1 |
| 33.42 | 18 | 2 1 2 |

ScCdP2O8: calculated X-ray powder pattern (λ = 1.5418 Å (Cu Kα)), based on a PBE-relaxed structure.

Structure:
abc: 5.3012 5.3012 6.5038
angles: 90.00 90.00 120.00
Positions (direct):
Sc 0.0000 0.0000 0.0000
Cd 0.0000 0.0000 0.5000
P 0.3333 0.6667 0.7143
P 0.6667 0.3333 0.2857
O 0.1736 0.3471 0.7921
O 0.1736 0.8264 0.7921
O 0.3333 0.6667 0.4779
O 0.3471 0.1736 0.2079
O 0.6529 0.8264 0.7921
O 0.6667 0.3333 0.5221
O 0.8264 0.1736 0.2079
O 0.8264 0.6529 0.2079

Peak list (10 most intense, 2θ = 5–70°, in order of falling intensity)
| Position (°2θ) | I (rel.) | (hkl) |
| --- | --- | --- |
| 33.80 | 100 | 1 1 0 |
| 19.33 | 61 | 1 0 0 |
| 23.72 | 43 | 0 1 1 |
| 48.55 | 32 | 2 0 2 |
| 36.61 | 25 | 1 1 1 |
| 44.08 | 24 | 1 1 2 |
| 13.62 | 24 | 0 0 1 |
| 60.45 | 23 | 1 0 4 |
| 67.62 | 16 | 1 1 4 |
| 52.75 | 10 | 2 1 0 |